[1]
LaGe2RhS: computed powder diffraction line list (Cu Kα X-rays), based on a crystal structure in Alexandria, relaxed with GGA-PBE.
Neutral-atom scattering factors, no anomalous dispersion.

Crystal structure
```
LaGe2RhS
1.0
3.862 -2.068 0.000
3.862 2.068 0.000
-3.346 0.000 6.913
La Ge Rh S
1 2 1 1
Cartesian
0.000 0.000 0.000 La
-0.952 0.000 3.453 Ge
1.762 0.000 4.792 Ge
4.234 0.000 3.703 Rh
5.225 0.000 1.388 S
```

The 12 most intense peaks (2θ = 10–90°), in order of rising 2θ:
12.81°, I 49
23.09°, I 41
25.05°, I 100
25.78°, I 85
30.74°, I 36
31.84°, I 62
33.52°, I 34
36.19°, I 63
40.24°, I 100
41.49°, I 87
42.35°, I 55
43.77°, I 58


[2]
LaGe2RhS: computed powder diffraction line list (Cu Kα X-rays), based on a crystal structure in Alexandria, relaxed with GGA-PBE.
Neutral-atom scattering factors, no anomalous dispersion.

Crystal structure
```
LaGe2RhS
1.0
2.334 1.348 5.420
-2.334 1.348 5.420
0.000 -2.695 5.420
La Ge Rh S
1 2 1 1
Cartesian
0.000 0.000 0.000 La
0.000 0.000 8.285 Ge
0.000 0.000 13.003 Ge
0.000 0.000 3.095 Rh
0.000 0.000 5.573 S
```

The 12 most intense peaks (2θ = 10–90°), in order of rising 2θ:
22.66°, I 30
31.20°, I 47
33.06°, I 31
35.42°, I 43
38.57°, I 100
51.68°, I 51
53.36°, I 13
61.47°, I 15
65.24°, I 14
67.75°, I 13
69.78°, I 17
79.41°, I 14


[3]
La2SmGe3Rh4: computed powder diffraction line list (Cu Kα X-rays), based on a crystal structure in Alexandria, relaxed with GGA-PBE.
Neutral-atom scattering factors, no anomalous dispersion.

Crystal structure
```
La2SmGe3Rh4
1.0
4.249 0.000 0.000
0.000 4.249 0.000
0.000 0.000 11.289
La Sm Ge Rh
2 1 3 4
Cartesian
0.000 2.124 2.603 La
2.124 0.000 8.686 La
0.000 0.000 5.644 Sm
0.000 2.124 9.955 Ge
2.124 0.000 1.334 Ge
2.124 2.124 5.644 Ge
0.000 0.000 0.000 Rh
0.000 2.124 7.469 Rh
2.124 0.000 3.820 Rh
2.124 2.124 0.000 Rh
```

The 12 most intense peaks (2θ = 10–90°), in order of rising 2θ:
31.75°, I 39
33.80°, I 100
38.29°, I 13
42.55°, I 49
44.02°, I 17
45.49°, I 18
54.05°, I 21
57.82°, I 8
58.56°, I 7
61.75°, I 16
64.05°, I 13
72.28°, I 21


[4]
LaTiGe2Rh: computed powder diffraction line list (Cu Kα X-rays), based on a crystal structure in Alexandria, relaxed with GGA-PBE.
Neutral-atom scattering factors, no anomalous dispersion.

Crystal structure
```
LaTiGe2Rh
1.0
4.836 0.000 0.000
0.000 4.836 0.000
0.000 0.000 5.175
La Ti Ge Rh
1 1 2 1
Cartesian
0.000 0.000 0.000 La
2.418 2.418 0.000 Ti
0.000 2.418 2.588 Ge
2.418 0.000 2.588 Ge
0.000 0.000 2.588 Rh
```

The 12 most intense peaks (2θ = 10–90°), in order of rising 2θ:
18.35°, I 100
26.06°, I 22
31.36°, I 75
34.67°, I 53
37.19°, I 87
39.50°, I 29
41.77°, I 25
51.75°, I 66
53.60°, I 29
55.37°, I 22
63.43°, I 19
65.43°, I 32


[5]
La2Zn2GeRh5: computed powder diffraction line list (Cu Kα X-rays), based on a crystal structure in Alexandria, relaxed with GGA-PBE.
Neutral-atom scattering factors, no anomalous dispersion.

Crystal structure
```
La2Zn2GeRh5
1.0
9.884 0.000 0.000
0.000 9.884 0.000
0.000 0.000 3.591
La Zn Ge Rh
4 4 2 10
Cartesian
1.724 3.219 0.000 La
3.219 8.161 0.000 La
6.666 1.724 0.000 La
8.161 6.666 0.000 La
1.237 6.179 0.000 Zn
3.705 1.237 0.000 Zn
6.179 8.648 0.000 Zn
8.648 3.705 0.000 Zn
0.000 0.000 0.000 Ge
4.942 4.942 0.000 Ge
0.000 4.942 1.796 Rh
0.605 7.915 1.796 Rh
1.970 0.605 1.796 Rh
2.973 5.547 1.796 Rh
4.338 2.973 1.796 Rh
4.942 0.000 1.796 Rh
5.547 6.912 1.796 Rh
6.912 4.338 1.796 Rh
7.915 9.280 1.796 Rh
9.280 1.970 1.796 Rh
```

The 12 most intense peaks (2θ = 10–90°), in order of rising 2θ:
30.78°, I 10
32.11°, I 22
35.85°, I 21
37.52°, I 52
38.17°, I 100
38.65°, I 24
40.83°, I 12
41.44°, I 34
44.51°, I 14
50.85°, I 22
64.88°, I 20
65.86°, I 10


[6]
LaZrGe2Rh5: computed powder diffraction line list (Cu Kα X-rays), based on a crystal structure in Alexandria, relaxed with GGA-PBE.
Neutral-atom scattering factors, no anomalous dispersion.

Crystal structure
```
LaZrGe2Rh5
1.0
4.011 0.000 0.000
0.000 4.011 0.000
0.000 0.000 11.315
La Zr Ge Rh
1 1 2 5
Cartesian
0.000 0.000 0.000 La
0.000 0.000 5.658 Zr
2.005 2.005 2.418 Ge
2.005 2.005 8.897 Ge
0.000 2.005 3.810 Rh
0.000 2.005 7.506 Rh
2.005 0.000 3.810 Rh
2.005 0.000 7.506 Rh
2.005 2.005 0.000 Rh
```

The 12 most intense peaks (2θ = 10–90°), in order of rising 2θ:
23.58°, I 45
27.26°, I 31
32.55°, I 48
35.41°, I 37
39.77°, I 23
45.25°, I 100
48.26°, I 13
51.64°, I 36
65.87°, I 15
68.27°, I 17
83.54°, I 17
85.72°, I 9


[7]
La5Ge2Ru: computed powder diffraction line list (Cu Kα X-rays), based on a crystal structure in Alexandria, relaxed with GGA-PBE.
Neutral-atom scattering factors, no anomalous dispersion.

Crystal structure
```
La5Ge2Ru
1.0
8.101 0.000 0.000
0.000 12.247 0.000
0.000 0.000 4.656
La Ge Ru
10 4 2
Cartesian
0.000 0.000 0.000 La
1.120 3.612 0.000 La
1.576 6.990 2.328 La
2.475 0.866 2.328 La
2.931 9.735 0.000 La
4.051 6.123 0.000 La
5.170 2.511 0.000 La
5.626 11.381 2.328 La
6.525 5.257 2.328 La
6.981 8.635 0.000 La
0.642 10.172 2.328 Ge
3.408 4.049 2.328 Ge
4.693 8.198 2.328 Ge
7.459 2.074 2.328 Ge
0.000 6.123 0.000 Ru
4.051 0.000 0.000 Ru
```

The 12 most intense peaks (2θ = 10–90°), in order of rising 2θ:
26.44°, I 48
29.21°, I 36
30.14°, I 100
31.14°, I 75
31.23°, I 59
32.75°, I 83
35.08°, I 39
38.68°, I 56
50.06°, I 28
50.50°, I 44
54.27°, I 21
62.65°, I 21


[8]
La4Ge3Ru: computed powder diffraction line list (Cu Kα X-rays), based on a crystal structure in Alexandria, relaxed with GGA-PBE.
Neutral-atom scattering factors, no anomalous dispersion.

Crystal structure
```
La4Ge3Ru
1.0
4.192 0.000 0.000
0.000 4.535 0.000
0.000 0.000 10.996
La Ge Ru
4 3 1
Cartesian
0.000 0.000 0.000 La
0.000 2.267 5.186 La
2.096 0.000 7.717 La
2.096 2.267 2.296 La
0.000 2.267 8.429 Ge
2.096 0.000 4.468 Ge
2.096 2.267 10.110 Ge
0.000 0.000 2.865 Ru
```

The 12 most intense peaks (2θ = 10–90°), in order of rising 2θ:
26.74°, I 15
30.15°, I 100
31.38°, I 37
32.57°, I 22
38.18°, I 54
39.19°, I 19
39.75°, I 28
43.16°, I 22
54.33°, I 16
57.05°, I 13
60.12°, I 16
71.12°, I 17